Calculated powder diffraction line list of Li2VFeP2H2O10 for CuKα, from a structure optimized by DFT (GGA+U).
Intensities are scaled so that the largest is 100.

Lattice parameters (Å, degrees): 5.1764 5.4205 7.4035 106.17 108.55 97.91
Positions (direct):
Li 0.2444 0.3942 0.3263
Li 0.7556 0.6058 0.6737
V 0.5000 0.0000 0.5000
Fe 0.5000 0.0000 0.0000
P 0.1764 0.3617 0.7313
P 0.8236 0.6383 0.2687
H 0.1391 0.9380 0.1580
H 0.8609 0.0620 0.8420
O 0.1294 0.7449 0.4268
O 0.1971 0.6572 0.8394
O 0.2273 0.2041 0.8787
O 0.3367 0.0459 0.2215
O 0.3842 0.3388 0.6165
O 0.6158 0.6612 0.3835
O 0.6633 0.9541 0.7785
O 0.7727 0.7959 0.1213
O 0.8029 0.3428 0.1606
O 0.8706 0.2551 0.5732

Peak list (12 most intense, 2θ from 15° to 90°, most intense first)
26.75°, I = 100, (0 1 -2)
28.84°, I = 87, (1 1 0)
26.51°, I = 74, (1 0 -2)
25.64°, I = 61, (0 1 1)
18.67°, I = 48, (1 0 0)
18.47°, I = 46, (1 0 -1)
17.59°, I = 37, (0 1 0)
35.93°, I = 37, (1 -2 0)
26.61°, I = 32, (1 -1 1)
55.51°, I = 31, (2 0 2)
22.29°, I = 28, (1 -1 0)
52.63°, I = 24, (-2 2 2)